Calculated PXRD pattern
Compound: Na4Zr2Si3O12
Radiation: copper Kα
Structure: a crystal structure in the Materials Project, relaxed with GGA-PBE
Intensities are scaled so that the largest is 100.

Atomic structure:
```
Na4Zr2Si3O12
1.0
4.660 2.690 7.483
-4.660 2.690 7.483
0.000 -5.381 7.483
Na Zr Si O
8 4 6 24
direct
0.000 0.000 0.000 Na
0.120 0.390 0.750 Na
0.250 0.890 0.620 Na
0.390 0.750 0.120 Na
0.500 0.500 0.500 Na
0.620 0.250 0.890 Na
0.750 0.120 0.390 Na
0.890 0.620 0.250 Na
0.146 0.146 0.146 Zr
0.352 0.352 0.352 Zr
0.646 0.646 0.646 Zr
0.852 0.852 0.852 Zr
0.046 0.750 0.451 Si
0.250 0.546 0.951 Si
0.451 0.046 0.750 Si
0.546 0.951 0.250 Si
0.750 0.451 0.046 Si
0.951 0.250 0.546 Si
0.008 0.792 0.623 O
0.064 0.918 0.269 O
0.082 0.730 0.933 O
0.123 0.292 0.508 O
0.206 0.376 0.987 O
0.230 0.582 0.433 O
0.269 0.064 0.918 O
0.292 0.508 0.123 O
0.376 0.987 0.206 O
0.418 0.564 0.769 O
0.433 0.230 0.582 O
0.487 0.876 0.706 O
0.508 0.123 0.292 O
0.564 0.769 0.418 O
0.582 0.433 0.230 O
0.623 0.008 0.792 O
0.706 0.487 0.876 O
0.730 0.933 0.082 O
0.769 0.418 0.564 O
0.792 0.623 0.008 O
0.876 0.706 0.487 O
0.918 0.269 0.064 O
0.933 0.082 0.730 O
0.987 0.206 0.376 O
```

Most intense lines, 2θ from 10° to 90°, in order of falling intensity:
d/Å	intensity
2.918	100
4.608	77
2.690	66
4.660	64
1.978	37
3.277	33
1.761	28
1.594	28
2.065	19
3.956	19